(1)
For Sr3HoRhO6, a DFT-relaxed cell (PBE, Alexandria) gives the calculated X-ray diffraction stick pattern in this record (Cu Kα X-rays).
Peak positions follow from Bragg's law for the DFT cell and can differ from measured ones.

Most intense lines, 10 to 90 degrees two-theta, low angle first:
- 2θ = 18.0°, intensity 47, hkl 1 1 0
- 2θ = 29.7°, intensity 41, hkl 1 1 3
- 2θ = 31.4°, intensity 100, hkl 3 0 0
- 2θ = 37.9°, intensity 33, hkl 0 2 4
- 2θ = 42.3°, intensity 39, hkl 2 1 4
- 2θ = 43.7°, intensity 24, hkl 2 2 3
- 2θ = 55.9°, intensity 17, hkl 3 3 0
- 2θ = 57.0°, intensity 28, hkl 3 2 4
- 2θ = 86.8°, intensity 14, hkl 3 5 4
- 2θ = 89.5°, intensity 12, hkl 5 0 8

```
data_Sr3HoRhO6
_space_group_name_H-M_alt 'R -3 c'
_space_group_IT_number 167
_space_group_name_Hall '-R 3 2"c'
_cell_length_a 9.8707
_cell_length_b 9.8707
_cell_length_c 11.4021
_cell_angle_alpha 90.00
_cell_angle_beta 90.00
_cell_angle_gamma 120.00
loop_
_atom_site_label
_atom_site_type_symbol
_atom_site_fract_x
_atom_site_fract_y
_atom_site_fract_z
Sr1 Sr 0.0000 0.3688 0.2500
Ho1 Ho 0.0000 0.0000 0.2500
Rh1 Rh 0.0000 0.0000 0.0000
O1 O 0.0222 0.1786 0.3864
```

---

(2)
For HoRu2O8, a DFT-relaxed cell (PBE, Alexandria) gives the calculated X-ray diffraction stick pattern in this record (Cu Kα X-rays).
Peak positions follow from Bragg's law for the DFT cell and can differ from measured ones.

Most intense lines, 10 to 90 degrees two-theta, low angle first:
- 2θ = 16.2°, intensity 60, hkl 1 1 1
- 2θ = 26.6°, intensity 100, hkl 2 2 0
- 2θ = 31.3°, intensity 12, hkl 3 1 1
- 2θ = 41.6°, intensity 22, hkl 3 3 1
- 2θ = 47.0°, intensity 39, hkl 4 2 2
- 2θ = 54.8°, intensity 20, hkl 4 4 0
- 2θ = 57.6°, intensity 10, hkl 5 3 1
- 2θ = 62.0°, intensity 16, hkl 6 2 0
- 2θ = 75.1°, intensity 21, hkl 6 4 2
- 2θ = 87.4°, intensity 11, hkl 6 6 0

```
data_HoRu2O8
_space_group_name_H-M_alt 'F m -3 m'
_space_group_IT_number 225
_space_group_name_Hall '-F 4 2 3'
_cell_length_a 9.469
_cell_length_b 9.469
_cell_length_c 9.469
_cell_angle_alpha 90.00
_cell_angle_beta 90.00
_cell_angle_gamma 90.00
loop_
_atom_site_label
_atom_site_type_symbol
_atom_site_fract_x
_atom_site_fract_y
_atom_site_fract_z
Ho1 Ho 0.000 0.000 0.000
Ru1 Ru 0.250 0.250 0.250
O1 O 0.142 0.142 0.142
```

---

(3)
For SmHo2RuO8, a DFT-relaxed cell (PBE, Alexandria) gives the calculated X-ray diffraction stick pattern in this record (Cu Kα X-rays).
Peak positions follow from Bragg's law for the DFT cell and can differ from measured ones.

Most intense lines, 10 to 90 degrees two-theta, low angle first:
- 2θ = 25.0°, intensity 100, hkl 1 0 1
- 2θ = 31.7°, intensity 88, hkl 1 2 0
- 2θ = 35.6°, intensity 25, hkl 0 0 2
- 2θ = 48.4°, intensity 68, hkl 2 2 1
- 2θ = 51.2°, intensity 17, hkl 2 0 -2
- 2θ = 60.3°, intensity 17, hkl 1 4 1
- 2θ = 61.4°, intensity 10, hkl 0 2 3
- 2θ = 61.5°, intensity 10, hkl 3 2 0
- 2θ = 66.3°, intensity 10, hkl 0 4 2
- 2θ = 73.1°, intensity 12, hkl 3 2 -2

```
data_SmHo2RuO8
_space_group_name_H-M_alt 'P 1 2/m 1'
_space_group_IT_number 10
_cell_length_a 5.042
_cell_length_b 6.803
_cell_length_c 5.053
_cell_angle_alpha 90.00
_cell_angle_beta 90.06
_cell_angle_gamma 90.00
loop_
_space_group_symop_operation_xyz
'x,y,z'
'-x,-y,-z'
'-x,y,-z'
'x,-y,z'
loop_
_atom_site_label
_atom_site_type_symbol
_atom_site_fract_x
_atom_site_fract_y
_atom_site_fract_z
Sm1 Sm 0.000 0.000 0.000
Ho1 Ho 0.500 0.249 0.500
Ru1 Ru 0.000 0.500 0.000
O1 O 0.186 0.294 0.185
O2 O 0.266 0.500 0.733
O3 O 0.313 0.000 0.685
```

---

(4)
For Ho4SO5, a DFT-relaxed cell (PBE, Alexandria) gives the calculated X-ray diffraction stick pattern in this record (Cu Kα X-rays).
Peak positions follow from Bragg's law for the DFT cell and can differ from measured ones.

Most intense lines, 10 to 90 degrees two-theta, low angle first:
- 2θ = 25.8°, intensity 100, hkl 0 2 1
- 2θ = 29.9°, intensity 73, hkl 2 0 1
- 2θ = 32.3°, intensity 19, hkl 0 0 2
- 2θ = 32.4°, intensity 42, hkl 2 2 0
- 2θ = 41.0°, intensity 15, hkl 0 4 0
- 2θ = 46.4°, intensity 50, hkl 2 2 2
- 2θ = 51.6°, intensity 39, hkl 4 0 0
- 2θ = 53.1°, intensity 11, hkl 0 4 2
- 2θ = 53.8°, intensity 12, hkl 0 2 3
- 2θ = 58.5°, intensity 20, hkl 4 2 1

```
data_Ho4SO5
_space_group_name_H-M_alt 'P m m n'
_space_group_IT_number 59
_cell_length_a 7.091
_cell_length_b 8.801
_cell_length_c 5.549
_cell_angle_alpha 90.00
_cell_angle_beta 90.00
_cell_angle_gamma 90.00
loop_
_space_group_symop_operation_xyz
'x,y,z'
'-x,-y,-z'
'-x+1/2,-y+1/2,z'
'x+1/2,y+1/2,-z'
'x+1/2,-y,-z'
'-x+1/2,y,z'
'-x,y+1/2,-z'
'x,-y+1/2,z'
loop_
_atom_site_label
_atom_site_type_symbol
_atom_site_fract_x
_atom_site_fract_y
_atom_site_fract_z
Ho1 Ho 0.008 0.250 0.016
Ho2 Ho 0.250 0.023 0.528
S1 S 0.250 0.750 0.308
O1 O 0.005 0.069 0.267
O2 O 0.250 0.250 0.768
```

---

(5)
For Ho2S2O, a DFT-relaxed cell (PBE, Alexandria) gives the calculated X-ray diffraction stick pattern in this record (Cu Kα X-rays).
Peak positions follow from Bragg's law for the DFT cell and can differ from measured ones.

Most intense lines, 10 to 90 degrees two-theta, low angle first:
- 2θ = 17.5°, intensity 22, hkl 0 2 1
- 2θ = 25.4°, intensity 36, hkl 0 0 2
- 2θ = 27.5°, intensity 100, hkl 0 4 1
- 2θ = 29.9°, intensity 55, hkl 1 3 0
- 2θ = 32.5°, intensity 34, hkl 1 3 1
- 2θ = 35.4°, intensity 29, hkl 1 1 2
- 2θ = 39.6°, intensity 42, hkl 1 3 2
- 2θ = 40.5°, intensity 22, hkl 0 2 3
- 2θ = 48.0°, intensity 18, hkl 2 0 0
- 2θ = 51.6°, intensity 23, hkl 1 7 1

```
data_Ho2S2O
_space_group_name_H-M_alt 'C m c 21'
_space_group_IT_number 36
_cell_length_a 3.788
_cell_length_b 14.620
_cell_length_c 7.013
_cell_angle_alpha 90.00
_cell_angle_beta 90.00
_cell_angle_gamma 90.00
loop_
_space_group_symop_operation_xyz
'x,y,z'
'-x,-y,z+1/2'
'-x,y,z'
'x,-y,z+1/2'
'x+1/2,y+1/2,z'
'-x+1/2,-y+1/2,z+1/2'
'-x+1/2,y+1/2,z'
'x+1/2,-y+1/2,z+1/2'
loop_
_atom_site_label
_atom_site_type_symbol
_atom_site_fract_x
_atom_site_fract_y
_atom_site_fract_z
Ho1 Ho 0.000 0.050 0.000
Ho2 Ho 0.000 0.334 0.892
S1 S 0.000 0.297 0.517
S2 S 0.000 0.450 0.191
O1 O 0.000 0.093 0.328
```

---

(6)
For Ho4S3O, a DFT-relaxed cell (PBE, Alexandria) gives the calculated X-ray diffraction stick pattern in this record (Cu Kα X-rays).
Peak positions follow from Bragg's law for the DFT cell and can differ from measured ones.

Most intense lines, 10 to 90 degrees two-theta, low angle first:
- 2θ = 28.9°, intensity 93, hkl 1 1 1
- 2θ = 33.4°, intensity 100, hkl 2 0 0
- 2θ = 48.0°, intensity 71, hkl 2 2 0
- 2θ = 57.0°, intensity 45, hkl 3 1 1
- 2θ = 59.8°, intensity 24, hkl 2 2 2
- 2θ = 70.3°, intensity 11, hkl 4 0 0
- 2θ = 77.7°, intensity 18, hkl 3 3 1
- 2θ = 80.1°, intensity 32, hkl 4 2 0
- 2θ = 89.6°, intensity 25, hkl 4 2 2

```
data_Ho4S3O
_space_group_name_H-M_alt 'P m -3 m'
_space_group_IT_number 221
_space_group_name_Hall '-P 4 2 3'
_cell_length_a 5.359
_cell_length_b 5.359
_cell_length_c 5.359
_cell_angle_alpha 90.00
_cell_angle_beta 90.00
_cell_angle_gamma 90.00
loop_
_atom_site_label
_atom_site_type_symbol
_atom_site_fract_x
_atom_site_fract_y
_atom_site_fract_z
Ho1 Ho 0.000 0.000 0.000
Ho2 Ho 0.000 0.500 0.500
S1 S 0.000 0.000 0.500
O1 O 0.500 0.500 0.500
```